Diffraction record for B2Se3O10. The XRD peak list is calculated, not measured: it uses a DFT-relaxed cell (GGA-PBE, the Materials Project) and copper Kα.
Kinematic intensities with the Lorentz-polarization factor, no thermal factor.

```
data_B2Se3O10
_symmetry_space_group_name_H-M 'P 1'
_symmetry_Int_Tables_number 1
_cell_length_a 4.4777
_cell_length_b 8.1563
_cell_length_c 22.5303
_cell_angle_alpha 90.00
_cell_angle_beta 95.10
_cell_angle_gamma 90.00
loop_
_symmetry_equiv_pos_as_xyz
'x,y,z'
loop_
_atom_site_label
_atom_site_fract_x
_atom_site_fract_y
_atom_site_fract_z
_atom_site_occupancy
B1 0.0373 0.1969 0.2984 1
B2 0.0373 0.3031 0.7984 1
B3 0.1683 0.5756 0.4330 1
B4 0.1683 0.9244 0.9330 1
B5 0.8317 0.0756 0.0670 1
B6 0.8317 0.4244 0.5670 1
B7 0.9627 0.6969 0.2016 1
B8 0.9627 0.8031 0.7016 1
Se1 0.0218 0.0410 0.1875 1
Se2 0.0218 0.4590 0.6875 1
Se3 0.2919 0.2194 0.0047 1
Se4 0.2919 0.2806 0.5047 1
Se5 0.4220 0.5350 0.1437 1
Se6 0.4220 0.9650 0.6437 1
Se7 0.5780 0.0350 0.3563 1
Se8 0.5780 0.4650 0.8563 1
Se9 0.7081 0.7194 0.4953 1
Se10 0.7081 0.7806 0.9953 1
Se11 0.9782 0.5410 0.3125 1
Se12 0.9782 0.9590 0.8125 1
O1 0.1386 0.6608 0.2596 1
O2 0.1386 0.8392 0.7596 1
O3 0.1562 0.0878 0.0577 1
O4 0.1562 0.4122 0.5577 1
O5 0.1728 0.6975 0.1537 1
O6 0.1728 0.8025 0.6537 1
O7 0.1797 0.1407 0.8008 1
O8 0.1797 0.3593 0.3008 1
O9 0.2189 0.6176 0.3708 1
O10 0.2189 0.8824 0.8708 1
O11 0.2641 0.0975 0.9412 1
O12 0.2641 0.4025 0.4412 1
O13 0.2725 0.1380 0.6607 1
O14 0.2725 0.3620 0.1607 1
O15 0.2740 0.0673 0.3029 1
O16 0.2740 0.4327 0.8029 1
O17 0.3267 0.6971 0.4732 1
O18 0.3267 0.8029 0.9732 1
O19 0.4758 0.0546 0.4238 1
O20 0.4758 0.4454 0.9238 1
O21 0.5242 0.5546 0.0762 1
O22 0.5242 0.9454 0.5762 1
O23 0.6733 0.1971 0.0268 1
O24 0.6733 0.3029 0.5268 1
O25 0.7260 0.5673 0.1971 1
O26 0.7260 0.9327 0.6971 1
O27 0.7275 0.6380 0.8393 1
O28 0.7275 0.8620 0.3393 1
O29 0.7359 0.5975 0.5588 1
O30 0.7359 0.9025 0.0588 1
O31 0.7811 0.1176 0.1292 1
O32 0.7811 0.3824 0.6292 1
O33 0.8203 0.6407 0.6992 1
O34 0.8203 0.8593 0.1992 1
O35 0.8272 0.1975 0.3463 1
O36 0.8272 0.3025 0.8463 1
O37 0.8438 0.5878 0.4423 1
O38 0.8438 0.9122 0.9423 1
O39 0.8614 0.1608 0.2404 1
O40 0.8614 0.3392 0.7404 1
```

Main lines, by angle (15 to 90 degrees two-theta):
d/Å, 2theta, intensity, (hkl)
4.017, 22.1, 74, 1 0 2
3.833, 23.2, 54, 0 2 2
3.805, 23.4, 76, 1 1 1
3.740, 23.8, 64, 0 0 6
3.584, 24.8, 100, 1 1 -3
3.299, 27.0, 60, 0 2 4